[1]
Calculated powder X-ray diffraction pattern of NaLaMgTeO6 for λ = 1.5418 Å (Cu Kα), from a structure optimized by DFT (PBE).
Kinematic intensities with the Lorentz-polarization factor, no thermal factor.

Crystal structure
Unit cell a=5.6256 b=5.5999 c=7.9461 alpha=90.00 beta=90.26 gamma=90.00
Space group P2_1/m (No. 11)
Inequivalent atoms, fractional coordinates:
Na 0.2346 0.2500 0.4992 x2
La 0.2454 0.2500 0.0018 x2
Mg 0.2519 0.7500 0.7314 x2
Te 0.2556 0.7500 0.2558 x2
O 0.0168 0.5039 0.2676 x4
O 0.1876 0.7500 0.0065 x2
O 0.3352 0.7500 0.4862 x2
O 0.4959 0.5088 0.1968 x4

Largest 10 diffraction maxima, low angle first, 2θ = 5–70°:
- 11.14 deg, 7.946 Å, intensity 64, (0 0 1)
- 19.33 deg, 4.592 Å, intensity 34, (1 0 -1)
- 19.39 deg, 4.577 Å, intensity 31, (0 1 1)
- 25.08 deg, 3.550 Å, intensity 45, (1 1 1)
- 31.82 deg, 2.813 Å, intensity 98, (1 1 -2)
- 31.94 deg, 2.802 Å, intensity 100, (1 1 2)
- 37.60 deg, 2.392 Å, intensity 26, (1 0 3)
- 45.71 deg, 1.985 Å, intensity 69, (2 2 0)
- 56.61 deg, 1.626 Å, intensity 22, (3 1 -2)
- 56.84 deg, 1.620 Å, intensity 50, (0 2 4)

=====

[2]
Calculated powder X-ray diffraction pattern of NaLaMgTeO6 for λ = 1.5418 Å (Cu Kα), from a structure optimized by DFT (PBE).
Kinematic intensities with the Lorentz-polarization factor, no thermal factor.

Crystal structure
Unit cell a=9.6901 b=5.5958 c=5.6190 alpha=90.00 beta=125.35 gamma=90.00
Space group Cm (No. 8)
Inequivalent atoms, fractional coordinates:
Na 0.0000 0.0000 0.0000 x2
La 0.0008 0.5000 0.5199 x2
Mg 0.2525 0.5000 0.2623 x2
Te 0.2508 0.0000 0.7589 x2
O 0.0119 0.0000 0.4434 x2
O 0.2098 0.2466 0.9543 x4
O 0.2955 0.2400 0.5611 x4
O 0.4910 0.0000 0.0821 x2

Largest 10 diffraction maxima, low angle first, 2θ = 5–70°:
- 19.41 deg, 4.574 Å, intensity 83, (0 0 1)
- 31.85 deg, 2.810 Å, intensity 18, (2 0 -2)
- 31.98 deg, 2.799 Å, intensity 100, (3 1 -1)
- 37.61 deg, 2.391 Å, intensity 21, (3 1 -2)
- 37.71 deg, 2.386 Å, intensity 23, (2 0 1)
- 45.77 deg, 1.983 Å, intensity 28, (2 2 -2)
- 45.93 deg, 1.976 Å, intensity 13, (4 0 0)
- 56.83 deg, 1.620 Å, intensity 18, (5 1 -3)
- 56.99 deg, 1.616 Å, intensity 24, (2 0 2)
- 66.86 deg, 1.399 Å, intensity 18, (0 4 0)

=====

[3]
Calculated powder X-ray diffraction pattern of LaMg6Nb for λ = 1.5418 Å (Cu Kα), from a structure optimized by DFT (PBE).
Kinematic intensities with the Lorentz-polarization factor, no thermal factor.

Crystal structure
Unit cell a=5.1828 b=6.1417 c=11.8946 alpha=90.00 beta=90.00 gamma=90.00
Space group Amm2 (No. 38)
Inequivalent atoms, fractional coordinates:
La 0.0000 0.0000 0.0000 x2
Mg 0.0000 0.2503 0.2474 x4
Mg 0.5000 0.0000 0.1679 x2
Mg 0.5000 0.0000 0.6419 x2
Mg 0.5000 0.2352 0.4086 x4
Nb 0.0000 0.0000 0.4911 x2

Largest 10 diffraction maxima, low angle first, 2θ = 5–70°:
- 14.90 deg, 5.947 Å, intensity 69, (0 0 2)
- 17.11 deg, 5.183 Å, intensity 49, (1 0 0)
- 22.76 deg, 3.907 Å, intensity 49, (1 0 2)
- 30.05 deg, 2.974 Å, intensity 21, (0 0 4)
- 32.82 deg, 2.729 Å, intensity 41, (0 2 2)
- 34.61 deg, 2.591 Å, intensity 40, (2 0 0)
- 34.78 deg, 2.579 Å, intensity 66, (1 0 4)
- 37.24 deg, 2.414 Å, intensity 100, (1 2 2)
- 48.44 deg, 1.879 Å, intensity 27, (2 2 2)
- 66.77 deg, 1.401 Å, intensity 21, (2 2 6)

=====

[4]
Calculated powder X-ray diffraction pattern of LaMg6Nb for λ = 1.5418 Å (Cu Kα), from a structure optimized by DFT (PBE).
Kinematic intensities with the Lorentz-polarization factor, no thermal factor.

Crystal structure
Unit cell a=5.0649 b=6.4905 c=11.5464 alpha=90.00 beta=90.00 gamma=90.00
Space group Amm2 (No. 38)
Inequivalent atoms, fractional coordinates:
La 0.0000 0.0000 0.0000 x2
Mg 0.0000 0.0000 0.5259 x2
Mg 0.0000 0.2361 0.7669 x4
Mg 0.5000 0.0000 0.3619 x2
Mg 0.5000 0.2392 0.6198 x4
Nb 0.5000 0.0000 0.8799 x2

Largest 10 diffraction maxima, low angle first, 2θ = 5–70°:
- 15.35 deg, 5.773 Å, intensity 33, (0 0 2)
- 15.66 deg, 5.658 Å, intensity 100, (0 1 1)
- 23.36 deg, 3.807 Å, intensity 21, (1 0 2)
- 31.63 deg, 2.829 Å, intensity 42, (0 2 2)
- 32.31 deg, 2.771 Å, intensity 30, (1 1 3)
- 35.45 deg, 2.532 Å, intensity 34, (2 0 0)
- 35.80 deg, 2.508 Å, intensity 63, (1 0 4)
- 36.38 deg, 2.470 Å, intensity 69, (1 2 2)
- 45.39 deg, 1.998 Å, intensity 25, (1 1 5)
- 48.23 deg, 1.887 Å, intensity 27, (2 2 2)

=====

[5]
Calculated powder X-ray diffraction pattern of La3Mg2NbO9 for λ = 1.5418 Å (Cu Kα), from a structure optimized by DFT (PBE).
Kinematic intensities with the Lorentz-polarization factor, no thermal factor.

Crystal structure
Unit cell a=5.6533 b=8.0135 c=17.0783 alpha=90.00 beta=90.00 gamma=90.00
Space group Immm (No. 71)
Inequivalent atoms, fractional coordinates:
La 0.0000 0.2211 0.0000 x4
La 0.0000 0.2661 0.3525 x8
Mg 0.0000 0.0000 0.1677 x4
Mg 0.0000 0.0000 0.5000 x2
Mg 0.0000 0.5000 0.5000 x2
Nb 0.0000 0.5000 0.1689 x4
O 0.0000 0.2494 0.5000 x4
O 0.0000 0.2525 0.1555 x8
O 0.2372 0.5000 0.2542 x8
O 0.2390 0.0000 0.4114 x8
O 0.2499 0.0000 0.0824 x8

Largest 10 diffraction maxima, low angle first, 2θ = 5–70°:
- 22.17 deg, 4.010 Å, intensity 23, (0 2 0)
- 30.58 deg, 2.923 Å, intensity 8, (1 0 5)
- 31.43 deg, 2.846 Å, intensity 17, (0 0 6)
- 31.58 deg, 2.833 Å, intensity 100, (2 0 0)
- 38.80 deg, 2.321 Å, intensity 11, (0 2 6)
- 39.00 deg, 2.310 Å, intensity 15, (2 2 0)
- 45.23 deg, 2.005 Å, intensity 37, (0 4 0)
- 56.04 deg, 1.641 Å, intensity 9, (1 2 9)
- 56.31 deg, 1.634 Å, intensity 22, (3 2 3)
- 65.90 deg, 1.417 Å, intensity 12, (2 4 6)

=====

[6]
Calculated powder X-ray diffraction pattern of La2MgNi2 for λ = 1.5418 Å (Cu Kα), from a structure optimized by DFT (PBE).
Kinematic intensities with the Lorentz-polarization factor, no thermal factor.

Crystal structure
Unit cell a=7.6232 b=7.6232 c=3.9030 alpha=90.00 beta=90.00 gamma=90.00
Space group P4/mbm (No. 127)
Inequivalent atoms, fractional coordinates:
La 0.1722 0.3278 0.0000 x4
Mg 0.0000 0.0000 0.5000 x2
Ni 0.1221 0.6221 0.5000 x4

Largest 10 diffraction maxima, low angle first, 2θ = 5–70°:
- 16.44 deg, 5.390 Å, intensity 20, (1 1 0)
- 23.34 deg, 3.812 Å, intensity 12, (2 0 0)
- 26.14 deg, 3.409 Å, intensity 15, (2 1 0)
- 32.84 deg, 2.727 Å, intensity 24, (2 0 1)
- 34.94 deg, 2.568 Å, intensity 100, (2 1 1)
- 37.30 deg, 2.411 Å, intensity 23, (3 1 0)
- 46.54 deg, 1.952 Å, intensity 12, (0 0 2)
- 49.29 deg, 1.849 Å, intensity 12, (4 1 0)
- 54.95 deg, 1.671 Å, intensity 15, (4 1 1)
- 61.10 deg, 1.517 Å, intensity 11, (3 1 2)